The following is a calculated powder diffractogram of Tb5Er2Mg2. It was derived from a crystal structure in Alexandria, relaxed with PBE, using Cu Kα (λ = 1.5418 Å).

Cell and atoms:
Lattice parameters (Å, degrees): 3.5321 9.1417 9.2754 67.80 79.09 78.93
Sites, in units of the cell vectors:
Tb (0.0000, 0.0000, 0.0000)
Tb (0.1094, 0.4509, 0.3300)
Tb (0.4401, 0.7821, 0.3379)
Tb (0.5599, 0.2179, 0.6621)
Tb (0.8906, 0.5491, 0.6700)
Er (0.2219, 0.8851, 0.6705)
Er (0.7781, 0.1149, 0.3295)
Mg (0.3292, 0.3394, 0.0013)
Mg (0.6708, 0.6606, 0.9987)

Principal peaks in the range 10° ≤ 2θ ≤ 80°, low angle first:
2θ (°)  I/Imax
10.39  22
31.40  100
31.51  33
36.05  46
37.23  21
52.81  23
61.84  14
61.93  10
62.06  15
63.49  13


The following is a calculated powder diffractogram of Sc3Rh. It was derived from a crystal structure in Alexandria, relaxed with PBE, using Cu Kα (λ = 1.5418 Å).

Cell and atoms:
Lattice parameters (Å, degrees): 5.7649 5.7649 5.7649 145.62 130.13 61.97
Sites, in units of the cell vectors:
Sc (0.0000, 0.0000, 0.0000)
Sc (0.2928, 0.7928, 0.5000)
Sc (0.7072, 0.2072, 0.5000)
Rh (0.5000, 0.5000, 0.0000)

Principal peaks in the range 10° ≤ 2θ ≤ 80°, low angle first:
2θ (°)  I/Imax
17.95  13
20.36  25
36.36  15
37.00  100
37.99  11
49.26  8
52.84  10
54.06  8
66.67  17
78.77  8